This entry pairs a crystal structure of LiMnCuSb with its computed X-ray powder pattern. Radiation: Cu Ka. Structure: a DFT-relaxed cell (PBE, Alexandria).
Peak positions follow from Bragg's law for the DFT cell and can differ from measured ones.

Atomic structure:
```
LiMnCuSb
1.0
6.308 0.000 0.000
0.000 6.308 0.000
0.000 0.000 6.308
Li Mn Cu Sb
4 4 4 4
Cartesian
0.000 0.000 0.000
0.000 3.154 3.154
3.154 0.000 3.154
3.154 3.154 0.000
0.000 0.000 3.154
0.000 3.154 0.000
3.154 0.000 0.000
3.154 3.154 3.154
1.577 1.577 1.577
1.577 4.731 4.731
4.731 1.577 4.731
4.731 4.731 1.577
1.577 1.577 4.731
1.577 4.731 1.577
4.731 1.577 1.577
4.731 4.731 4.731
```

Main lines, in order of falling intensity (2θ = 5–70°):
| index | Position (°2θ) | I_rel |
| --- | --- | --- |
| 2 2 0 | 40.44 | 100 |
| 2 0 0 | 28.29 | 35 |
| 1 1 1 | 24.44 | 22 |
| 4 0 0 | 58.53 | 16 |
| 4 2 0 | 66.26 | 12 |
| 3 1 1 | 47.82 | 10 |
| 2 2 2 | 50.09 | 9 |
| 3 3 1 | 64.38 | 4 |